No. 1
MnTeO3: simulated X-ray diffraction stick pattern (Cu Kα (weighted mean of Kα1 and Kα2)), based on a cell relaxed with PBE+U.
Peak positions follow from Bragg's law for the DFT cell and can differ from measured ones.

Cell and atoms:
```
MnTeO3
1.0
5.746 0.000 0.000
0.000 8.227 0.000
0.000 0.000 5.587
Mn Te O
4 4 12
Direct
0.044 0.250 0.005
0.456 0.750 0.505
0.544 0.250 0.495
0.956 0.750 0.995
0.000 0.000 0.500
0.000 0.500 0.500
0.500 0.000 0.000
0.500 0.500 0.000
0.095 0.750 0.359
0.180 0.574 0.825
0.180 0.926 0.825
0.320 0.074 0.325
0.320 0.426 0.325
0.405 0.250 0.859
0.595 0.750 0.141
0.680 0.574 0.675
0.680 0.926 0.675
0.820 0.074 0.175
0.820 0.426 0.175
0.905 0.250 0.641
```

Peak list (8 most intense, 2θ from 15° to 90°, by angle)
2θ/deg  d/Å  Rel. int.
22.19  4.006  17.9
31.16  2.870  100.0
32.04  2.794  17.1
44.03  2.057  9.8
45.27  2.003  17.2
55.43  1.658  25.7
56.56  1.627  20.0
64.98  1.435  11.2

***

No. 2
MnTe2O5: simulated X-ray diffraction stick pattern (Cu Kα (weighted mean of Kα1 and Kα2)), based on a cell relaxed with PBE+U.
Peak positions follow from Bragg's law for the DFT cell and can differ from measured ones.

Cell and atoms:
```
MnTe2O5
1.0
6.097 0.000 0.000
0.000 7.435 0.000
-0.001 0.000 11.031
Mn Te O
4 8 20
Direct
0.250 0.000 0.187
0.250 0.501 0.692
0.750 0.001 0.308
0.750 0.500 0.813
0.011 0.867 0.904
0.013 0.637 0.403
0.487 0.364 0.403
0.489 0.134 0.904
0.511 0.634 0.096
0.513 0.864 0.597
0.987 0.137 0.597
0.989 0.367 0.096
0.048 0.652 0.816
0.048 0.854 0.314
0.187 0.808 0.041
0.190 0.696 0.539
0.250 0.001 0.812
0.250 0.501 0.310
0.310 0.305 0.539
0.313 0.193 0.041
0.452 0.147 0.314
0.453 0.349 0.816
0.547 0.849 0.184
0.548 0.647 0.686
0.687 0.693 0.959
0.690 0.805 0.461
0.750 0.001 0.690
0.750 0.501 0.188
0.810 0.196 0.461
0.813 0.308 0.959
0.952 0.152 0.184
0.952 0.354 0.686
```

Peak list (8 most intense, 2θ from 15° to 90°, by angle)
2θ/deg  d/Å  Rel. int.
24.84  3.584  100.0
27.05  3.296  34.7
29.28  3.050  86.8
32.77  2.733  18.6
40.30  2.238  18.0
49.33  1.847  16.1
50.37  1.812  28.7
53.79  1.704  18.0

***

No. 3
MnTeO4: simulated X-ray diffraction stick pattern (Cu Kα (weighted mean of Kα1 and Kα2)), based on a cell relaxed with PBE+U.
Peak positions follow from Bragg's law for the DFT cell and can differ from measured ones.

Cell and atoms:
```
MnTeO4
1.0
5.165 0.000 0.000
0.000 3.128 0.000
-2.552 0.000 5.332
Mn Te O
1 1 4
Direct
0.000 0.000 0.000
0.000 0.500 0.500
0.164 0.500 0.266
0.247 0.000 0.700
0.753 0.000 0.300
0.836 0.500 0.734
```

Peak list (8 most intense, 2θ from 15° to 90°, by angle)
2θ/deg  d/Å  Rel. int.
16.62  5.332  19.8
19.06  4.657  100.0
30.61  2.921  21.0
33.21  2.698  32.6
34.57  2.594  21.2
38.83  2.319  16.4
42.21  2.141  31.4
55.15  1.665  11.4

***

No. 4
Mn2TeO6: simulated X-ray diffraction stick pattern (Cu Kα (weighted mean of Kα1 and Kα2)), based on a cell relaxed with PBE+U.
Peak positions follow from Bragg's law for the DFT cell and can differ from measured ones.

Cell and atoms:
```
Mn2TeO6
1.0
4.808 0.000 0.000
0.000 4.808 0.000
0.000 0.000 8.970
Mn Te O
4 2 12
Direct
0.000 0.000 0.165
0.000 0.000 0.835
0.500 0.500 0.335
0.500 0.500 0.665
0.000 0.000 0.500
0.500 0.500 0.000
0.184 0.184 0.335
0.184 0.184 0.665
0.199 0.199 0.000
0.301 0.699 0.500
0.316 0.684 0.165
0.316 0.684 0.835
0.684 0.316 0.165
0.684 0.316 0.835
0.699 0.301 0.500
0.801 0.801 0.000
0.816 0.816 0.335
0.816 0.816 0.665
```

Peak list (8 most intense, 2θ from 15° to 90°, by angle)
2θ/deg  d/Å  Rel. int.
20.96  4.238  25.8
26.21  3.400  100.0
35.35  2.539  56.3
37.41  2.404  16.5
52.41  1.746  59.1
53.94  1.700  15.9
60.93  1.520  11.9
66.15  1.413  19.8

***

No. 5
MnTe2O5: simulated X-ray diffraction stick pattern (Cu Kα (weighted mean of Kα1 and Kα2)), based on a cell relaxed with PBE+U.
Peak positions follow from Bragg's law for the DFT cell and can differ from measured ones.

Cell and atoms:
```
MnTe2O5
1.0
7.480 0.000 0.000
0.000 11.117 0.000
0.000 0.000 6.219
Mn Te O
4 8 20
Direct
0.000 0.060 0.250
0.000 0.940 0.750
0.500 0.440 0.750
0.500 0.560 0.250
0.135 0.345 0.019
0.135 0.655 0.519
0.365 0.155 0.519
0.365 0.845 0.019
0.635 0.155 0.981
0.635 0.845 0.481
0.865 0.345 0.481
0.865 0.655 0.981
0.000 0.436 0.250
0.000 0.564 0.750
0.153 0.065 0.550
0.153 0.935 0.050
0.195 0.211 0.191
0.195 0.789 0.691
0.305 0.289 0.691
0.305 0.711 0.191
0.347 0.435 0.050
0.347 0.565 0.550
0.500 0.064 0.750
0.500 0.936 0.250
0.653 0.435 0.450
0.653 0.565 0.950
0.695 0.289 0.809
0.695 0.711 0.309
0.805 0.211 0.309
0.805 0.789 0.809
0.847 0.065 0.950
0.847 0.935 0.450
```

Peak list (8 most intense, 2θ from 15° to 90°, by angle)
2θ/deg  d/Å  Rel. int.
24.56  3.625  100.0
26.85  3.320  36.0
28.73  3.107  20.1
28.99  3.080  73.2
32.20  2.780  28.7
43.72  2.071  20.7
49.92  1.827  28.5
53.18  1.722  18.3

***

No. 6
Ti3Mn3Te2O16: simulated X-ray diffraction stick pattern (Cu Kα (weighted mean of Kα1 and Kα2)), based on a cell relaxed with PBE+U.
Peak positions follow from Bragg's law for the DFT cell and can differ from measured ones.

Cell and atoms:
```
Ti3Mn3Te2O16
1.0
5.403 -3.008 0.000
5.403 3.008 0.000
-0.460 0.000 9.275
Ti Mn Te O
3 3 2 16
Direct
0.000 0.000 0.000
0.329 0.828 0.508
0.828 0.329 0.508
0.336 0.336 0.512
0.504 0.997 0.010
0.997 0.504 0.010
0.496 0.496 0.227
0.831 0.831 0.728
0.127 0.705 0.862
0.154 0.154 0.423
0.163 0.163 0.924
0.218 0.659 0.364
0.330 0.799 0.110
0.334 0.334 0.123
0.518 0.980 0.615
0.521 0.521 0.612
0.640 0.640 0.369
0.659 0.218 0.364
0.697 0.697 0.869
0.705 0.127 0.862
0.799 0.330 0.110
0.837 0.837 0.102
0.980 0.518 0.615
0.983 0.983 0.607
```

Peak list (8 most intense, 2θ from 15° to 90°, by angle)
2θ/deg  d/Å  Rel. int.
18.61  4.768  41.6
19.20  4.623  100.0
19.44  4.567  40.7
19.62  4.525  77.9
33.25  2.695  34.3
34.16  2.624  67.5
35.60  2.522  61.9
59.92  1.544  31.9